[1]
Simulated X-ray powder pattern of VSb2O5 for Cu Kα (weighted mean of Kα1 and Kα2), from a cell relaxed with GGA+U.
Intensities are scaled so that the largest is 100.

Cell and atoms:
a = 5.6266 Å, b = 18.0376 Å, c = 4.9492 Å
α = 90.00°, β = 90.00°, γ = 90.00°
Sites, in units of the cell vectors:
V (0.1747, 0.2500, 0.1206)
V (0.3253, 0.7500, 0.6206)
V (0.6747, 0.2500, 0.3794)
V (0.8253, 0.7500, 0.8794)
Sb (0.1760, 0.5885, 0.9664)
Sb (0.1760, 0.9115, 0.9664)
Sb (0.3240, 0.0885, 0.4664)
Sb (0.3240, 0.4115, 0.4664)
Sb (0.6760, 0.5885, 0.5336)
Sb (0.6760, 0.9115, 0.5336)
Sb (0.8240, 0.0885, 0.0336)
Sb (0.8240, 0.4115, 0.0336)
O (0.0733, 0.6786, 0.7409)
O (0.0733, 0.8214, 0.7409)
O (0.1345, 0.0429, 0.1601)
O (0.1345, 0.4571, 0.1601)
O (0.1599, 0.2500, 0.7886)
O (0.3401, 0.7500, 0.2886)
O (0.3655, 0.5429, 0.6601)
O (0.3655, 0.9571, 0.6601)
O (0.4267, 0.1786, 0.2409)
O (0.4267, 0.3214, 0.2409)
O (0.5733, 0.6786, 0.7591)
O (0.5733, 0.8214, 0.7591)
O (0.6345, 0.0429, 0.3399)
O (0.6345, 0.4571, 0.3399)
O (0.6599, 0.2500, 0.7114)
O (0.8401, 0.7500, 0.2114)
O (0.8655, 0.5429, 0.8399)
O (0.8655, 0.9571, 0.8399)
O (0.9267, 0.1786, 0.2591)
O (0.9267, 0.3214, 0.2591)

Top 6 peaks for 2θ = 5–70°, sorted by position:
2θ 18.6, rel. 18
2θ 23.9, rel. 25
2θ 28.2, rel. 100
2θ 29.7, rel. 30
2θ 35.2, rel. 24
2θ 51.8, rel. 19

[2]
Simulated X-ray powder pattern of RbVOF3 for Cu Kα (weighted mean of Kα1 and Kα2), from a cell relaxed with GGA+U.
Intensities are scaled so that the largest is 100.

Cell and atoms:
a = 8.7878 Å, b = 11.8260 Å, c = 3.9573 Å
α = 90.00°, β = 90.00°, γ = 90.00°
Sites, in units of the cell vectors:
Rb (0.0088, 0.2179, 0.0000)
Rb (0.4912, 0.7179, 0.0000)
Rb (0.5088, 0.2821, 0.0000)
Rb (0.9912, 0.7821, 0.0000)
V (0.1918, 0.4830, 0.5000)
V (0.3082, 0.9830, 0.5000)
V (0.6918, 0.0170, 0.5000)
V (0.8082, 0.5170, 0.5000)
O (0.1570, 0.0648, 0.5000)
O (0.3430, 0.5648, 0.5000)
O (0.6570, 0.4352, 0.5000)
O (0.8430, 0.9352, 0.5000)
F (0.0308, 0.6027, 0.5000)
F (0.1669, 0.4667, 0.0000)
F (0.2332, 0.8312, 0.5000)
F (0.2668, 0.3312, 0.5000)
F (0.3331, 0.9667, 0.0000)
F (0.4692, 0.1027, 0.5000)
F (0.5308, 0.8973, 0.5000)
F (0.6669, 0.0333, 0.0000)
F (0.7332, 0.6688, 0.5000)
F (0.7668, 0.1688, 0.5000)
F (0.8331, 0.5333, 0.0000)
F (0.9692, 0.3973, 0.5000)

Top 6 peaks for 2θ = 5–70°, sorted by position:
2θ 24.8, rel. 35
2θ 25.3, rel. 100
2θ 27.1, rel. 88
2θ 30.4, rel. 71
2θ 43.4, rel. 35
2θ 45.9, rel. 45

[3]
Simulated X-ray powder pattern of Sr2La3Fe4CuO15 for Cu Kα (weighted mean of Kα1 and Kα2), from a cell relaxed with GGA+U.
Intensities are scaled so that the largest is 100.

Cell and atoms:
a = 11.7280 Å, b = 11.7280 Å, c = 11.7280 Å
α = 27.31°, β = 27.31°, γ = 27.31°
Sites, in units of the cell vectors:
Sr (0.0992, 0.0992, 0.0992)
Sr (0.9008, 0.9008, 0.9008)
La (0.3019, 0.3019, 0.3019)
La (0.5000, 0.5000, 0.5000)
La (0.6981, 0.6981, 0.6981)
Fe (0.2002, 0.2002, 0.2002)
Fe (0.3998, 0.3998, 0.3998)
Fe (0.6002, 0.6002, 0.6002)
Fe (0.7998, 0.7998, 0.7998)
Cu (0.0000, 0.0000, 0.0000)
O (0.0000, 0.0000, 0.5000)
O (0.0000, 0.5000, 0.0000)
O (0.1011, 0.6003, 0.6003)
O (0.2040, 0.2040, 0.6883)
O (0.2040, 0.6883, 0.2040)
O (0.3117, 0.7960, 0.7960)
O (0.3997, 0.3997, 0.8989)
O (0.3997, 0.8989, 0.3997)
O (0.5000, 0.0000, 0.0000)
O (0.6003, 0.1011, 0.6003)
O (0.6003, 0.6003, 0.1011)
O (0.6883, 0.2040, 0.2040)
O (0.7960, 0.3117, 0.7960)
O (0.7960, 0.7960, 0.3117)
O (0.8989, 0.3997, 0.3997)

Top 6 peaks for 2θ = 5–70°, sorted by position:
2θ 22.7, rel. 6
2θ 32.4, rel. 100
2θ 39.9, rel. 16
2θ 46.4, rel. 34
2θ 57.7, rel. 38
2θ 67.7, rel. 20

[4]
Simulated X-ray powder pattern of NdEuZrFeO6 for Cu Kα (weighted mean of Kα1 and Kα2), from a cell relaxed with GGA+U.
Intensities are scaled so that the largest is 100.

Cell and atoms:
a = 5.7350 Å, b = 5.7350 Å, c = 5.7350 Å
α = 60.00°, β = 60.00°, γ = 60.00°
Sites, in units of the cell vectors:
Nd (0.0000, 0.0000, 0.0000)
Eu (0.5000, 0.5000, 0.5000)
Zr (0.7500, 0.7500, 0.7500)
Fe (0.2500, 0.2500, 0.2500)
O (0.0052, 0.0052, 0.4948)
O (0.0052, 0.4948, 0.0052)
O (0.0052, 0.4948, 0.4948)
O (0.4948, 0.0052, 0.0052)
O (0.4948, 0.0052, 0.4948)
O (0.4948, 0.4948, 0.0052)

Top 6 peaks for 2θ = 5–70°, sorted by position:
2θ 21.9, rel. 8
2θ 31.2, rel. 100
2θ 38.4, rel. 13
2θ 44.7, rel. 31
2θ 55.5, rel. 39
2θ 65.1, rel. 19

[5]
Simulated X-ray powder pattern of Ba2Ca3Tl2Cr4O12 for Cu Kα (weighted mean of Kα1 and Kα2), from a cell relaxed with GGA+U.
Intensities are scaled so that the largest is 100.

Cell and atoms:
a = 22.3806 Å, b = 22.3806 Å, c = 22.3806 Å
α = 169.86°, β = 169.86°, γ = 14.36°
Sites, in units of the cell vectors:
Ba (0.1608, 0.1608, 0.0000)
Ba (0.8392, 0.8392, 0.0000)
Ca (0.0000, 0.0000, 0.0000)
Ca (0.0771, 0.0771, 0.0000)
Ca (0.9229, 0.9229, 0.0000)
Tl (0.2758, 0.2758, 0.0000)
Tl (0.7242, 0.7242, 0.0000)
Cr (0.3846, 0.3846, 0.0000)
Cr (0.4622, 0.4622, 0.0000)
Cr (0.5378, 0.5378, 0.0000)
Cr (0.6154, 0.6154, 0.0000)
O (0.0353, 0.5353, 0.5000)
O (0.1072, 0.6072, 0.5000)
O (0.2217, 0.2217, 0.0000)
O (0.3414, 0.3414, 0.0000)
O (0.3928, 0.8928, 0.5000)
O (0.4647, 0.9647, 0.5000)
O (0.5353, 0.0353, 0.5000)
O (0.6072, 0.1072, 0.5000)
O (0.6586, 0.6586, 0.0000)
O (0.7783, 0.7783, 0.0000)
O (0.8928, 0.3928, 0.5000)
O (0.9647, 0.4647, 0.5000)

Top 6 peaks for 2θ = 5–70°, sorted by position:
2θ 26.5, rel. 57
2θ 28.9, rel. 100
2θ 31.7, rel. 73
2θ 32.0, rel. 91
2θ 32.2, rel. 59
2θ 45.9, rel. 52

[6]
Simulated X-ray powder pattern of LiV2F7 for Cu Kα (weighted mean of Kα1 and Kα2), from a cell relaxed with GGA+U.
Intensities are scaled so that the largest is 100.

Cell and atoms:
a = 11.7187 Å, b = 7.4588 Å, c = 5.4028 Å
α = 90.00°, β = 90.00°, γ = 90.00°
Sites, in units of the cell vectors:
Li (0.1502, 0.2500, 0.1155)
Li (0.3498, 0.7500, 0.6155)
Li (0.6502, 0.2500, 0.3845)
Li (0.8498, 0.7500, 0.8845)
V (0.1257, 0.0224, 0.6250)
V (0.1257, 0.4776, 0.6250)
V (0.3743, 0.5224, 0.1250)
V (0.3743, 0.9776, 0.1250)
V (0.6257, 0.0224, 0.8750)
V (0.6257, 0.4776, 0.8750)
V (0.8743, 0.5224, 0.3750)
V (0.8743, 0.9776, 0.3750)
F (0.0421, 0.0241, 0.2957)
F (0.0421, 0.4759, 0.2957)
F (0.0660, 0.2500, 0.8102)
F (0.1259, 0.7500, 0.6739)
F (0.1842, 0.2500, 0.4649)
F (0.2278, 0.0480, 0.9412)
F (0.2278, 0.4520, 0.9412)
F (0.2722, 0.5480, 0.4412)
F (0.2722, 0.9520, 0.4412)
F (0.3158, 0.7500, 0.9649)
F (0.3741, 0.2500, 0.1739)
F (0.4340, 0.7500, 0.3102)
F (0.4579, 0.5241, 0.7957)
F (0.4579, 0.9759, 0.7957)
F (0.5421, 0.0241, 0.2043)
F (0.5421, 0.4759, 0.2043)
F (0.5660, 0.2500, 0.6898)
F (0.6259, 0.7500, 0.8261)
F (0.6842, 0.2500, 0.0351)
F (0.7278, 0.0480, 0.5588)
F (0.7278, 0.4520, 0.5588)
F (0.7722, 0.5480, 0.0588)
F (0.7722, 0.9520, 0.0588)
F (0.8158, 0.7500, 0.5351)
F (0.8741, 0.2500, 0.3261)
F (0.9340, 0.7500, 0.1898)
F (0.9579, 0.5241, 0.7043)
F (0.9579, 0.9759, 0.7043)

Top 6 peaks for 2θ = 5–70°, sorted by position:
2θ 18.1, rel. 97
2θ 19.3, rel. 28
2θ 22.4, rel. 100
2θ 23.9, rel. 68
2θ 30.1, rel. 33
2θ 48.9, rel. 49

[7]
Simulated X-ray powder pattern of Mn7CdO12 for Cu Kα (weighted mean of Kα1 and Kα2), from a cell relaxed with GGA+U.
Intensities are scaled so that the largest is 100.

Cell and atoms:
a = 6.5260 Å, b = 6.5260 Å, c = 6.5260 Å
α = 109.66°, β = 109.66°, γ = 109.66°
Sites, in units of the cell vectors:
Mn (0.0000, 0.0000, 0.0000)
Mn (0.0000, 0.0000, 0.5000)
Mn (0.0000, 0.5000, 0.0000)
Mn (0.0000, 0.5000, 0.5000)
Mn (0.5000, 0.0000, 0.0000)
Mn (0.5000, 0.0000, 0.5000)
Mn (0.5000, 0.5000, 0.0000)
Cd (0.5000, 0.5000, 0.5000)
O (0.0253, 0.1876, 0.3226)
O (0.1876, 0.3226, 0.0253)
O (0.1921, 0.6952, 0.3681)
O (0.3048, 0.6319, 0.8079)
O (0.3226, 0.0253, 0.1876)
O (0.3681, 0.1921, 0.6952)
O (0.6319, 0.8079, 0.3048)
O (0.6774, 0.9747, 0.8124)
O (0.6952, 0.3681, 0.1921)
O (0.8079, 0.3048, 0.6319)
O (0.8124, 0.6774, 0.9747)
O (0.9747, 0.8124, 0.6774)

Top 6 peaks for 2θ = 5–70°, sorted by position:
2θ 33.6, rel. 100
2θ 33.8, rel. 92
2θ 48.4, rel. 50
2θ 60.1, rel. 23
2θ 60.2, rel. 47
2θ 60.7, rel. 23

[8]
Simulated X-ray powder pattern of Li9Mn2Co5O16 for Cu Kα (weighted mean of Kα1 and Kα2), from a cell relaxed with GGA+U.
Intensities are scaled so that the largest is 100.

Cell and atoms:
a = 5.0589 Å, b = 7.7349 Å, c = 7.8032 Å
α = 98.00°, β = 101.56°, γ = 102.92°
Sites, in units of the cell vectors:
Li (0.0000, 0.0000, 0.0000)
Li (0.0010, 0.4962, 0.4938)
Li (0.0085, 0.2541, 0.7558)
Li (0.4902, 0.6149, 0.3588)
Li (0.4944, 0.1342, 0.8823)
Li (0.4973, 0.4955, 0.9994)
Li (0.5013, 0.8666, 0.1186)
Li (0.5039, 0.3738, 0.6310)
Li (0.9816, 0.7389, 0.2396)
Mn (0.4984, 0.9955, 0.4990)
Mn (0.9987, 0.6240, 0.8780)
Co (0.9997, 0.3742, 0.1137)
Co (0.0001, 0.8707, 0.6227)
Co (0.4964, 0.2518, 0.2430)
Co (0.4974, 0.7394, 0.7554)
Co (0.9938, 0.1293, 0.3690)
O (0.2226, 0.6222, 0.1044)
O (0.2280, 0.2472, 0.0068)
O (0.2374, 0.8606, 0.8665)
O (0.2478, 0.5176, 0.7493)
O (0.2516, 0.3617, 0.3619)
O (0.2537, 0.1048, 0.6168)
O (0.2622, 0.7631, 0.5006)
O (0.2673, 0.0161, 0.2725)
O (0.7248, 0.9835, 0.7277)
O (0.7398, 0.1327, 0.1374)
O (0.7417, 0.8808, 0.3836)
O (0.7462, 0.4747, 0.2464)
O (0.7477, 0.2249, 0.4990)
O (0.7633, 0.7473, 0.9840)
O (0.7687, 0.3910, 0.8752)
O (0.7766, 0.6329, 0.6402)

Top 6 peaks for 2θ = 5–70°, sorted by position:
2θ 18.4, rel. 100
2θ 35.6, rel. 15
2θ 43.0, rel. 29
2θ 43.8, rel. 27
2θ 44.0, rel. 27
2θ 63.0, rel. 15

[9]
Simulated X-ray powder pattern of Li4Fe2O5 for Cu Kα (weighted mean of Kα1 and Kα2), from a cell relaxed with GGA+U.
Intensities are scaled so that the largest is 100.

Cell and atoms:
a = 8.5346 Å, b = 5.2571 Å, c = 11.1985 Å
α = 90.00°, β = 108.76°, γ = 90.00°
Sites, in units of the cell vectors:
Li (0.9998, 0.1758, 0.0878)
Li (0.9998, 0.3242, 0.5878)
Li (0.0002, 0.6758, 0.4122)
Li (0.0002, 0.8242, 0.9122)
Li (0.3783, 0.6226, 0.5032)
Li (0.3783, 0.8774, 0.0032)
Li (0.3860, 0.1634, 0.1748)
Li (0.3860, 0.3366, 0.6748)
Li (0.4914, 0.0230, 0.3849)
Li (0.4914, 0.4770, 0.8849)
Li (0.5086, 0.5230, 0.1151)
Li (0.5086, 0.9770, 0.6151)
Li (0.6140, 0.6634, 0.3252)
Li (0.6140, 0.8366, 0.8252)
Li (0.6217, 0.1226, 0.9968)
Li (0.6217, 0.3774, 0.4968)
Fe (0.1919, 0.1692, 0.3824)
Fe (0.1919, 0.3308, 0.8824)
Fe (0.2067, 0.6702, 0.2121)
Fe (0.2067, 0.8298, 0.7121)
Fe (0.7933, 0.1702, 0.2879)
Fe (0.7933, 0.3298, 0.7879)
Fe (0.8081, 0.6692, 0.1176)
Fe (0.8081, 0.8308, 0.6176)
O (0.0040, 0.7136, 0.5886)
O (0.0040, 0.7864, 0.0886)
O (0.2004, 0.1981, 0.7233)
O (0.2004, 0.3019, 0.2233)
O (0.2036, 0.6985, 0.8733)
O (0.2036, 0.8015, 0.3733)
O (0.3983, 0.2491, 0.5042)
O (0.3983, 0.2509, 0.0042)
O (0.4013, 0.7114, 0.6875)
O (0.4013, 0.7886, 0.1875)
O (0.5987, 0.2114, 0.8125)
O (0.5987, 0.2886, 0.3125)
O (0.6017, 0.7491, 0.9958)
O (0.6017, 0.7509, 0.4958)
O (0.7964, 0.1985, 0.6267)
O (0.7964, 0.3015, 0.1267)
O (0.7996, 0.6981, 0.7767)
O (0.7996, 0.8019, 0.2767)
O (0.9960, 0.2136, 0.9114)
O (0.9960, 0.2864, 0.4114)

Top 6 peaks for 2θ = 5–70°, sorted by position:
2θ 10.9, rel. 23
2θ 16.8, rel. 46
2θ 22.0, rel. 42
2θ 23.9, rel. 100
2θ 31.9, rel. 59
2θ 34.1, rel. 36